No. 1
Structure and theoretical powder XRD pattern of Cs6PdCl (a structure optimized by DFT (PBE); CuKα).

Peak list (12 most intense, 2θ = 15–90°, in order of falling intensity)
2theta	intensity
22.4	100
29.1	33
34.5	28
37.8	25
21.1	18
41.5	16
40.8	15
56.3	13
55.1	12
58.5	10
52.1	9
19.7	8

```
data_Cs6PdCl
_chemical_formula_sum 'Cs12 Pd2 Cl2'
_cell_length_a 9.0045
_cell_length_b 9.0045
_cell_length_c 16.8113
_cell_angle_alpha 90.00
_cell_angle_beta 90.00
_cell_angle_gamma 120.00
_space_group_name_H-M_alt 'P -3 1 c'
_space_group_IT_number 163
_space_group_name_Hall '-P 3 2c'
loop_
_atom_site_label
_atom_site_fract_x
_atom_site_fract_y
_atom_site_fract_z
_atom_site_occupancy
Cs1 0.0295 0.3391 0.1259 1
Pd1 0.3333 0.6667 0.2500 1
Cl1 0.0000 0.0000 0.0000 1
```



No. 2
Structure and theoretical powder XRD pattern of CsPdCl3 (a structure optimized by DFT (PBE); CuKα).

Peak list (12 most intense, 2θ = 15–90°, in order of falling intensity)
2theta	intensity
22.0	100
23.2	84
25.6	66
28.6	60
20.8	52
39.1	39
39.3	39
36.1	34
37.4	33
18.0	31
25.9	26
51.2	24

```
data_CsPdCl3
_chemical_formula_sum 'Cs8 Pd8 Cl24'
_cell_length_a 10.656
_cell_length_b 13.969
_cell_length_c 9.180
_cell_angle_alpha 90.00
_cell_angle_beta 90.00
_cell_angle_gamma 90.00
_space_group_name_H-M_alt 'I b a m'
_space_group_IT_number 72
_space_group_name_Hall '-I 2 2c'
loop_
_atom_site_label
_atom_site_fract_x
_atom_site_fract_y
_atom_site_fract_z
_atom_site_occupancy
Cs1 0.000 0.176 0.250 1
Pd1 0.146 0.447 0.000 1
Cl1 0.064 0.396 0.500 1
Cl2 0.151 0.002 0.000 1
Cl3 0.216 0.291 0.000 1
```



No. 3
Structure and theoretical powder XRD pattern of Cs2PdCl7 (a structure optimized by DFT (PBE); CuKα).

Peak list (12 most intense, 2θ = 15–90°, in order of falling intensity)
2theta	intensity
23.2	100
34.8	56
29.0	49
24.4	42
42.2	39
47.5	38
31.4	33
50.0	18
60.2	18
40.1	18
63.4	16
51.2	16

```
data_Cs2PdCl7
_chemical_formula_sum 'Cs4 Pd2 Cl14'
_cell_length_a 7.301
_cell_length_b 7.301
_cell_length_c 11.399
_cell_angle_alpha 90.00
_cell_angle_beta 90.00
_cell_angle_gamma 90.00
_space_group_name_H-M_alt 'I 4/m m m'
_space_group_IT_number 139
_space_group_name_Hall '-I 4 2'
loop_
_atom_site_label
_atom_site_fract_x
_atom_site_fract_y
_atom_site_fract_z
_atom_site_occupancy
Cs1 0.000 0.500 0.250 1
Pd1 0.000 0.000 0.000 1
Cl1 0.000 0.000 0.206 1
Cl2 0.000 0.000 0.500 1
Cl3 0.233 0.233 0.000 1
```



No. 4
Structure and theoretical powder XRD pattern of CsPdCl3 (a structure optimized by DFT (PBE); CuKα).

Peak list (12 most intense, 2θ = 15–90°, in order of falling intensity)
2theta	intensity
20.9	100
19.6	74
33.7	42
26.5	42
31.0	38
25.9	32
36.2	32
24.4	28
31.5	25
31.7	24
16.9	21
42.3	17

```
data_CsPdCl3
_chemical_formula_sum 'Cs4 Pd4 Cl12'
_cell_length_a 9.213
_cell_length_b 7.295
_cell_length_c 12.723
_cell_angle_alpha 90.00
_cell_angle_beta 124.48
_cell_angle_gamma 90.00
_space_group_name_H-M_alt 'P 1 21/c 1'
_space_group_IT_number 14
loop_
_space_group_symop_operation_xyz
'x,y,z'
'-x,-y,-z'
'-x,y+1/2,-z+1/2'
'x,-y+1/2,z+1/2'
loop_
_atom_site_label
_atom_site_fract_x
_atom_site_fract_y
_atom_site_fract_z
_atom_site_occupancy
Cs1 0.135 0.200 0.158 1
Pd1 0.397 0.653 0.372 1
Cl1 0.110 0.699 0.200 1
Cl2 0.314 0.087 0.953 1
Cl3 0.494 0.608 0.810 1
```